1.
For Na2Cr7O14, a cell relaxed with PBE+U gives the theoretical powder X-ray diffraction pattern in this record (a wavelength of 1.5418 Å).
Kinematic intensities with the Lorentz-polarization factor, no thermal factor.

Largest 10 diffraction maxima, low angle first, 10° ≤ 2θ ≤ 90°:
- d 4.066, 2θ = 21.86°, intensity 23.4
- d 3.126, 2θ = 28.55°, intensity 31.1
- d 2.875, 2θ = 31.11°, intensity 100.0
- d 2.751, 2θ = 32.55°, intensity 18.0
- d 2.453, 2θ = 36.64°, intensity 69.0
- d 2.278, 2θ = 39.56°, intensity 54.6
- d 1.785, 2θ = 51.18°, intensity 25.2
- d 1.661, 2θ = 55.32°, intensity 31.0
- d 1.565, 2θ = 59.03°, intensity 40.4
- d 1.439, 2θ = 64.80°, intensity 34.9

Cell and atoms:
```
Na2Cr7O14
1.0
2.878 1.661 9.377
-2.878 1.661 9.377
0.000 -3.323 9.377
Na Cr O
2 7 14
direct
0.198 0.198 0.198
0.802 0.802 0.802
0.000 0.500 0.500
0.076 0.076 0.076
0.440 0.440 0.440
0.500 0.000 0.500
0.500 0.500 0.000
0.560 0.560 0.560
0.924 0.924 0.924
0.137 0.137 0.616
0.137 0.616 0.137
0.201 0.722 0.722
0.278 0.278 0.799
0.278 0.799 0.278
0.371 0.371 0.371
0.384 0.863 0.863
0.616 0.137 0.137
0.629 0.629 0.629
0.722 0.201 0.722
0.722 0.722 0.201
0.799 0.278 0.278
0.863 0.384 0.863
0.863 0.863 0.384
```

***

2.
For Na4CrO3, a cell relaxed with PBE+U gives the theoretical powder X-ray diffraction pattern in this record (a wavelength of 1.5418 Å).
Kinematic intensities with the Lorentz-polarization factor, no thermal factor.

Largest 10 diffraction maxima, low angle first, 10° ≤ 2θ ≤ 90°:
- d 4.746, 2θ = 18.70°, intensity 31.2
- d 4.083, 2θ = 21.76°, intensity 54.5
- d 3.516, 2θ = 25.33°, intensity 32.0
- d 2.673, 2θ = 33.53°, intensity 40.1
- d 2.587, 2θ = 34.68°, intensity 100.0
- d 2.560, 2θ = 35.05°, intensity 98.7
- d 2.393, 2θ = 37.59°, intensity 78.5
- d 2.034, 2θ = 44.56°, intensity 41.7
- d 1.850, 2θ = 49.24°, intensity 21.3
- d 1.662, 2θ = 55.29°, intensity 38.3

Cell and atoms:
```
Na4CrO3
1.0
5.444 -2.916 0.000
5.444 2.916 0.000
-3.920 0.000 7.903
Na Cr O
8 2 6
direct
0.043 0.344 0.405
0.150 0.850 0.500
0.344 0.043 0.905
0.382 0.781 0.182
0.619 0.942 0.585
0.781 0.382 0.682
0.850 0.150 0.000
0.942 0.619 0.085
0.262 0.560 0.793
0.560 0.262 0.293
0.028 0.877 0.739
0.229 0.257 0.686
0.257 0.229 0.186
0.556 0.574 0.420
0.574 0.556 0.920
0.877 0.028 0.239
```